The following is a computed X-ray diffraction stick pattern of BaZnGe. It was derived from the GGA-PBE geometry in the Materials Project, using Cu Kα, 1.54184 Å.
Neutral-atom scattering factors, no anomalous dispersion.

Top 10 peaks for 15 to 90 degrees two-theta, in order of rising 2θ:
Position (°2θ)	d (Å)	Rel. int.
22.89	3.885	7
29.34	3.044	100
36.69	2.449	17
40.21	2.243	39
50.55	1.806	22
55.56	1.654	30
61.62	1.505	12
66.48	1.406	19
84.67	1.145	9
89.84	1.092	9

Crystal structure
```
BaZnGe
1.0
4.486 0.000 0.000
-2.243 3.885 0.000
0.000 0.000 9.797
Ba Zn Ge
2 2 2
Direct
0.000 0.000 0.000
0.000 0.000 0.500
0.333 0.667 0.250
0.667 0.333 0.750
0.333 0.667 0.750
0.667 0.333 0.250
```

The following is a computed X-ray diffraction stick pattern of EuTiNbBi2O9. It was derived from the GGA-PBE geometry in the Materials Project, using Cu Kα, 1.54184 Å.
Neutral-atom scattering factors, no anomalous dispersion.

Top 10 peaks for 15 to 90 degrees two-theta, in order of rising 2θ:
Position (°2θ)	d (Å)	Rel. int.
28.93	3.086	100
29.09	3.070	99
32.64	2.744	38
32.77	2.733	33
35.39	2.536	26
46.92	1.936	37
48.90	1.862	26
49.18	1.852	15
56.04	1.641	48
56.34	1.633	16

Crystal structure
```
EuTiNbBi2O9
1.0
5.466 0.000 0.000
0.000 5.488 0.000
-2.635 0.000 12.681
Eu Ti Nb Bi O
2 2 2 4 18
Direct
0.247 0.000 0.000
0.753 0.500 0.000
0.333 0.528 0.174
0.667 0.028 0.826
0.170 0.532 0.827
0.830 0.032 0.173
0.021 0.013 0.602
0.428 0.010 0.399
0.572 0.510 0.601
0.979 0.513 0.398
0.025 0.540 0.682
0.028 0.760 0.129
0.103 0.263 0.129
0.246 0.770 0.502
0.258 0.271 0.502
0.314 0.561 0.999
0.335 0.541 0.313
0.366 0.852 0.831
0.471 0.346 0.830
0.529 0.846 0.170
0.634 0.352 0.169
0.665 0.041 0.687
0.686 0.061 0.001
0.742 0.771 0.498
0.754 0.270 0.498
0.897 0.763 0.871
0.972 0.260 0.871
0.975 0.040 0.318
```

The following is a computed X-ray diffraction stick pattern of LaInPd2. It was derived from the GGA-PBE geometry in the Materials Project, using Cu Kα, 1.54184 Å.
Neutral-atom scattering factors, no anomalous dispersion.

Top 10 peaks for 15 to 90 degrees two-theta, in order of rising 2θ:
Position (°2θ)	d (Å)	Rel. int.
29.00	3.079	30
36.17	2.483	98
38.21	2.355	100
53.63	1.709	31
63.69	1.461	17
67.75	1.383	30
69.07	1.360	17
76.76	1.242	10
81.80	1.177	14
89.16	1.098	14

Crystal structure
```
LaInPd2
1.0
4.711 0.000 0.000
-2.355 4.079 0.000
0.000 0.000 9.390
La In Pd
2 2 4
Direct
0.333 0.667 0.250
0.667 0.333 0.750
0.000 0.000 0.000
0.000 0.000 0.500
0.333 0.667 0.578
0.333 0.667 0.922
0.667 0.333 0.078
0.667 0.333 0.422
```